The following is a calculated X-ray powder pattern of Nd3In3AgPdPt. It was derived from a PBE-relaxed structure, using Cu Kα.
Intensities are scaled so that the largest is 100.

Top 8 peaks for 2θ = 15–90°, low angle first:
- hkl 1 1 1, d 2.816, rel. 91.8
- hkl 2 0 1, d 2.601, rel. 100.0
- hkl 1 2 0, d 2.561, rel. 45.5
- hkl 3 0 0, d 2.259, rel. 39.5
- hkl 1 2 1, d 2.166, rel. 28.3
- hkl 0 0 2, d 2.029, rel. 26.0
- hkl 3 0 2, d 1.509, rel. 21.8
- hkl 3 2 1, d 1.452, rel. 32.1

Structure:
a b c (Å): 7.8237 7.8237 4.0576
angles (deg): 90.00 90.00 120.00
Space group P-6 (No. 174)
One atom of each set of equivalent atoms:
Nd 0.0844 0.7450 0.0000 x3
In 0.4049 0.0763 0.5000 x3
Ag 0.6667 0.3333 0.0000 x1
Pd 0.0000 0.0000 0.5000 x1
Pt 0.3333 0.6667 0.5000 x1